SiRu2: theoretical X-ray diffraction stick pattern (Cu Ka), based on DFT lattice parameters and positions (PBE).
No peak broadening, texture or thermal motion is included.

Structure:
Lattice parameters (Å, degrees): 5.325 4.038 7.453 90.00 90.00 90.00
Space group Pnma (No. 62)
Symmetry-distinct sites (fractional):
Si 0.202 0.250 0.098 [4 per cell]
Ru 0.014 0.250 0.788 [4 per cell]
Ru 0.166 0.250 0.435 [4 per cell]

Principal peaks in the range 2θ = 10–80°, sorted by position:
| 2theta | I_rel |
| --- | --- |
| 30.26 | 42 |
| 36.91 | 45 |
| 40.59 | 44 |
| 41.69 | 46 |
| 42.44 | 88 |
| 42.73 | 100 |
| 44.90 | 59 |
| 62.93 | 27 |


Si2Ru: theoretical X-ray diffraction stick pattern (Cu Ka), based on DFT lattice parameters and positions (PBE).
No peak broadening, texture or thermal motion is included.

Structure:
Lattice parameters (Å, degrees): 5.683 5.683 5.683 90.00 90.00 90.00
Space group Fm-3m (No. 225)
Symmetry-distinct sites (fractional):
Si 0.250 0.250 0.250 [8 per cell]
Ru 0.000 0.000 0.000 [4 per cell]

Principal peaks in the range 2θ = 10–80°, sorted by position:
| 2theta | I_rel |
| --- | --- |
| 27.18 | 100 |
| 31.49 | 10 |
| 45.13 | 88 |
| 53.48 | 44 |
| 56.06 | 3 |
| 65.73 | 14 |
| 72.50 | 17 |
| 74.70 | 3 |


Si3Ru2: theoretical X-ray diffraction stick pattern (Cu Ka), based on DFT lattice parameters and positions (PBE).
No peak broadening, texture or thermal motion is included.

Structure:
Lattice parameters (Å, degrees): 5.607 5.607 8.937 90.00 90.00 90.00
Space group P-4c2 (No. 116)
Symmetry-distinct sites (fractional):
Si 0.144 0.293 0.410 [8 per cell]
Si 0.330 0.330 0.750 [4 per cell]
Ru 0.000 0.000 0.250 [2 per cell]
Ru 0.000 0.500 0.128 [4 per cell]
Ru 0.500 0.500 0.000 [2 per cell]

Principal peaks in the range 2θ = 10–80°, sorted by position:
| 2theta | I_rel |
| --- | --- |
| 25.49 | 91 |
| 31.92 | 47 |
| 41.28 | 100 |
| 45.77 | 34 |
| 46.67 | 61 |
| 53.11 | 33 |
| 67.43 | 27 |
| 75.88 | 16 |


SiRu: theoretical X-ray diffraction stick pattern (Cu Ka), based on DFT lattice parameters and positions (PBE).
No peak broadening, texture or thermal motion is included.

Structure:
Lattice parameters (Å, degrees): 2.939 2.939 2.939 90.00 90.00 90.00
Space group Pm-3m (No. 221)
Symmetry-distinct sites (fractional):
Si 0.000 0.000 0.000 [1 per cell]
Ru 0.500 0.500 0.500 [1 per cell]

Principal peaks in the range 2θ = 10–80°, sorted by position:
| 2theta | I_rel |
| --- | --- |
| 30.42 | 44 |
| 43.56 | 100 |
| 54.05 | 11 |
| 63.30 | 16 |
| 71.84 | 14 |
| 79.98 | 33 |


Si3Ru2: theoretical X-ray diffraction stick pattern (Cu Ka), based on DFT lattice parameters and positions (PBE).
No peak broadening, texture or thermal motion is included.

Structure:
Lattice parameters (Å, degrees): 13.047 8.616 5.265 90.00 90.00 90.00
Space group Pbcn (No. 60)
Symmetry-distinct sites (fractional):
Si 0.122 0.214 0.041 [8 per cell]
Si 0.156 0.321 0.505 [8 per cell]
Si 0.237 0.038 0.688 [8 per cell]
Ru 0.000 0.299 0.750 [4 per cell]
Ru 0.000 0.408 0.250 [4 per cell]
Ru 0.090 0.063 0.412 [8 per cell]

Principal peaks in the range 2θ = 10–80°, sorted by position:
| 2theta | I_rel |
| --- | --- |
| 13.57 | 100 |
| 22.91 | 25 |
| 35.96 | 34 |
| 36.31 | 70 |
| 38.29 | 36 |
| 41.41 | 25 |
| 44.21 | 35 |
| 45.47 | 32 |


Sm2Si5Ru3: theoretical X-ray diffraction stick pattern (Cu Ka), based on DFT lattice parameters and positions (PBE).
No peak broadening, texture or thermal motion is included.

Structure:
Lattice parameters (Å, degrees): 10.803 10.803 5.727 90.00 90.00 90.00
Space group P4/mnc (No. 128)
Symmetry-distinct sites (fractional):
Sm 0.071 0.235 0.000 [8 per cell]
Si 0.000 0.000 0.266 [4 per cell]
Si 0.022 0.321 0.500 [8 per cell]
Si 0.174 0.674 0.250 [8 per cell]
Ru 0.000 0.500 0.250 [4 per cell]
Ru 0.125 0.854 0.500 [8 per cell]

Principal peaks in the range 2θ = 10–80°, sorted by position:
| 2theta | I_rel |
| --- | --- |
| 26.08 | 46 |
| 30.47 | 100 |
| 31.24 | 32 |
| 34.22 | 26 |
| 36.48 | 25 |
| 37.22 | 41 |
| 37.76 | 74 |
| 39.33 | 66 |


SmSi2Ru2: theoretical X-ray diffraction stick pattern (Cu Ka), based on DFT lattice parameters and positions (PBE).
No peak broadening, texture or thermal motion is included.

Structure:
Lattice parameters (Å, degrees): 4.209 4.209 9.724 90.00 90.00 90.00
Space group I4/mmm (No. 139)
Symmetry-distinct sites (fractional):
Sm 0.000 0.000 0.000 [2 per cell]
Si 0.000 0.000 0.366 [4 per cell]
Ru 0.000 0.500 0.250 [4 per cell]

Principal peaks in the range 2θ = 10–80°, sorted by position:
| 2theta | I_rel |
| --- | --- |
| 23.03 | 29 |
| 34.94 | 33 |
| 35.36 | 100 |
| 36.98 | 16 |
| 42.98 | 40 |
| 57.96 | 18 |
| 65.59 | 19 |
| 73.82 | 23 |


Sm3Si2Ru2: theoretical X-ray diffraction stick pattern (Cu Ka), based on DFT lattice parameters and positions (PBE).
No peak broadening, texture or thermal motion is included.

Structure:
Lattice parameters (Å, degrees): 5.681 7.802 13.404 90.00 90.00 90.00
Space group Pbcm (No. 57)
Symmetry-distinct sites (fractional):
Sm 0.137 0.249 0.250 [4 per cell]
Sm 0.353 0.603 0.100 [8 per cell]
Si 0.105 0.250 0.000 [4 per cell]
Si 0.352 0.601 0.750 [4 per cell]
Ru 0.147 0.530 0.590 [8 per cell]

Principal peaks in the range 2θ = 10–80°, sorted by position:
| 2theta | I_rel |
| --- | --- |
| 23.48 | 39 |
| 33.09 | 55 |
| 33.58 | 44 |
| 34.36 | 40 |
| 35.31 | 46 |
| 38.05 | 62 |
| 39.32 | 100 |
| 40.37 | 43 |


Sm2Si5Ru3: theoretical X-ray diffraction stick pattern (Cu Ka), based on DFT lattice parameters and positions (PBE).
No peak broadening, texture or thermal motion is included.

Structure:
Lattice parameters (Å, degrees): 11.060 11.060 5.688 90.00 90.00 90.00
Space group P4/mnc (No. 128)
Symmetry-distinct sites (fractional):
Sm 0.091 0.219 0.000 [8 per cell]
Si 0.000 0.000 0.272 [4 per cell]
Si 0.052 0.296 0.500 [8 per cell]
Si 0.140 0.640 0.250 [8 per cell]
Ru 0.000 0.500 0.000 [4 per cell]
Ru 0.108 0.842 0.500 [8 per cell]

Principal peaks in the range 2θ = 10–80°, sorted by position:
| 2theta | I_rel |
| --- | --- |
| 25.47 | 50 |
| 29.99 | 100 |
| 31.46 | 60 |
| 36.33 | 44 |
| 37.05 | 25 |
| 39.74 | 59 |
| 40.90 | 72 |
| 48.80 | 21 |


TaSiRu: theoretical X-ray diffraction stick pattern (Cu Ka), based on DFT lattice parameters and positions (PBE).
No peak broadening, texture or thermal motion is included.

Structure:
Lattice parameters (Å, degrees): 7.334 11.196 6.513 90.00 90.00 90.00
Space group Ima2 (No. 46)
Symmetry-distinct sites (fractional):
Ta 0.250 0.002 0.000 [4 per cell]
Ta 0.250 0.219 0.359 [4 per cell]
Ta 0.250 0.697 0.876 [4 per cell]
Si 0.004 0.666 0.580 [8 per cell]
Si 0.250 0.028 0.584 [4 per cell]
Ru 0.000 0.000 0.333 [4 per cell]
Ru 0.031 0.625 0.205 [8 per cell]

Principal peaks in the range 2θ = 10–80°, sorted by position:
| 2theta | I_rel |
| --- | --- |
| 29.08 | 28 |
| 36.92 | 45 |
| 37.04 | 100 |
| 40.40 | 71 |
| 40.55 | 30 |
| 42.41 | 27 |
| 42.60 | 28 |
| 49.73 | 27 |


TaSiRu2: theoretical X-ray diffraction stick pattern (Cu Ka), based on DFT lattice parameters and positions (PBE).
No peak broadening, texture or thermal motion is included.

Structure:
Lattice parameters (Å, degrees): 6.148 6.148 6.148 90.00 90.00 90.00
Space group Fm-3m (No. 225)
Symmetry-distinct sites (fractional):
Ta 0.000 0.000 0.000 [4 per cell]
Si 0.000 0.000 0.500 [4 per cell]
Ru 0.250 0.250 0.250 [8 per cell]

Principal peaks in the range 2θ = 10–80°, sorted by position:
| 2theta | I_rel |
| --- | --- |
| 25.09 | 32 |
| 41.55 | 100 |
| 49.15 | 17 |
| 60.21 | 17 |
| 66.27 | 7 |
| 75.81 | 34 |